Diffraction record for KCrN. The powder X-ray diffraction pattern is calculated, not measured: it uses the PBE geometry in Alexandria and CuKα.
Peak positions follow from Bragg's law for the DFT cell and can differ from measured ones.

Peak list (10 most intense, 10° ≤ 2θ ≤ 90°, sorted by position)
17.22°, I 26, hkl 0 0 2; 25.48°, I 43, hkl 0 1 1; 25.96°, I 100, hkl 0 0 3; 32.61°, I 30, hkl 1 0 2; 35.60°, I 25, hkl 0 1 3; 36.46°, I 82, hkl 1 1 0; 37.41°, I 45, hkl 1 0 -3; 44.92°, I 31, hkl 1 1 -3; 45.68°, I 36, hkl 1 1 3; 49.02°, I 28, hkl 0 2 0

Crystal structure
```
6
Lattice="3.2929 0.0000 0.0000 0.0000 3.7167 0.0000 -0.2311 0.0000 10.2983" Properties=species:S:1:pos:R:3 pbc="T T T"
K 0.7068 0.9292 2.1136
K 2.3550 2.7875 8.1847
Cr 0.7076 0.9292 5.4679
Cr 2.3542 2.7875 4.8304
N 0.7078 2.7875 5.8957
N 2.3540 0.9292 4.4026
```

=====

Diffraction record for KPr2Cr2N6. The powder X-ray diffraction pattern is calculated, not measured: it uses the PBE geometry in Alexandria and CuKα.
Peak positions follow from Bragg's law for the DFT cell and can differ from measured ones.

Peak list (10 most intense, 10° ≤ 2θ ≤ 90°, sorted by position)
15.68°, I 51, hkl 0 0 1; 16.96°, I 63, hkl 1 0 -1; 17.52°, I 50, hkl 1 -1 0; 18.72°, I 47, hkl 1 0 0; 26.13°, I 88, hkl 1 1 -1; 26.95°, I 100, hkl 1 0 -2; 27.84°, I 43, hkl 1 -2 0; 30.32°, I 100, hkl 1 0 1; 32.01°, I 78, hkl 1 -2 1; 34.60°, I 41, hkl -2 2 1

Crystal structure
```
11
Lattice="6.1076 0.0000 0.0000 -2.6470 5.8962 0.0000 -2.9809 -1.8784 5.6500" Properties=species:S:1:pos:R:3 pbc="T T T"
K 0.0000 0.0000 0.0000
Pr -0.3967 0.4257 3.8713
Pr 0.8764 3.5922 1.7787
Cr -2.4985 2.7143 3.8080
Cr 2.9781 1.3036 1.8420
N -3.6346 3.9872 3.8083
N -2.5381 1.5025 5.0000
N -0.8843 2.9925 3.3511
N 1.3640 1.0254 2.2989
N 3.0177 2.5154 0.6500
N 4.1143 0.0307 1.8417
```

=====

Diffraction record for KSm2Cr2N6. The powder X-ray diffraction pattern is calculated, not measured: it uses the PBE geometry in Alexandria and CuKα.
Peak positions follow from Bragg's law for the DFT cell and can differ from measured ones.

Peak list (10 most intense, 10° ≤ 2θ ≤ 90°, sorted by position)
16.04°, I 51, hkl 0 0 1; 17.15°, I 64, hkl 1 0 -1; 17.46°, I 61, hkl 1 -1 0; 18.85°, I 48, hkl 1 0 0; 26.44°, I 77, hkl 1 1 -1; 27.51°, I 91, hkl 1 0 -2; 30.77°, I 93, hkl 1 0 1; 32.20°, I 100, hkl 1 -2 1; 34.42°, I 40, hkl -2 2 1; 43.20°, I 41, hkl -1 2 2

Crystal structure
```
11
Lattice="6.1104 0.0000 0.0000 -2.7401 5.8614 0.0000 -2.9327 -1.8121 5.5251" Properties=species:S:1:pos:R:3 pbc="T T T"
K 0.0000 0.0000 0.0000
Sm -0.4574 0.4847 3.7657
Sm 0.8949 3.5647 1.7594
Cr -2.4954 2.7535 3.7139
Cr 2.9330 1.2959 1.8112
N -3.6308 4.0284 3.7058
N -2.5125 1.5653 4.9284
N -0.8862 2.9916 3.2140
N 1.3238 1.0577 2.3111
N 2.9500 2.4840 0.5967
N 4.0684 0.0210 1.8193
```

=====

Diffraction record for KUCrN4. The powder X-ray diffraction pattern is calculated, not measured: it uses the PBE geometry in Alexandria and CuKα.
Peak positions follow from Bragg's law for the DFT cell and can differ from measured ones.

Peak list (10 most intense, 10° ≤ 2θ ≤ 90°, sorted by position)
12.18°, I 100, hkl 0 0 1; 20.14°, I 15, hkl 0 1 1; 22.78°, I 35, hkl 1 1 0; 23.51°, I 14, hkl 1 1 -1; 29.39°, I 20, hkl 0 1 2; 29.89°, I 18, hkl 1 1 -2; 32.27°, I 20, hkl 0 2 0; 34.63°, I 19, hkl 0 2 1; 37.17°, I 18, hkl 1 1 2; 38.36°, I 20, hkl 2 1 -2

Crystal structure
```
14
Lattice="5.7469 0.0000 0.0000 0.0000 5.5480 0.0000 -2.2369 0.0000 7.2660" Properties=species:S:1:pos:R:3 pbc="T T T"
K 0.1952 1.3870 3.1264
K 3.3148 4.1610 4.1396
U -0.5478 1.3870 6.9033
U 4.0579 4.1610 0.3627
Cr 1.1598 4.1610 1.1607
Cr 2.3503 1.3870 6.1054
N -0.3405 4.1610 2.0634
N -1.8090 4.1610 6.8817
N 2.3173 2.8244 1.2408
N 2.3173 5.4976 1.2408
N 1.1927 0.0504 6.0253
N 1.1927 2.7236 6.0253
N 5.3190 1.3870 0.3844
N 3.8505 1.3870 5.2027
```